Entry 1:
Diffraction record for Sr2Cd2CuS2O2. The XRD peak list is computed, not measured: it uses the PBE geometry in Alexandria and copper Kα.
Intensities are scaled so that the largest is 100.

Main lines, low angle first (2θ from 15° to 90°):
(0 0 4), 17.05°, intensity 40.1
(0 0 6), 25.70°, intensity 24.6
(1 0 5), 30.79°, intensity 35.3
(1 1 2), 32.39°, intensity 100.0
(1 1 4), 35.76°, intensity 66.0
(1 0 7), 37.53°, intensity 50.4
(2 0 0), 44.70°, intensity 54.0
(1 1 8), 47.19°, intensity 20.8
(2 1 7), 59.74°, intensity 24.4
(1 1 14), 71.53°, intensity 17.8

Structure:
Cell: 4.055 4.055 20.798 Å, 90.00 90.00 90.00°
Space group I4/mmm (No. 139)
Symmetry-distinct sites (fractional):
Sr1 0.000 0.000 0.079 (multiplicity 4)
Cd1 0.000 0.500 0.250 (multiplicity 4)
Cu1 0.000 0.000 0.500 (multiplicity 2)
S1 0.000 0.000 0.357 (multiplicity 4)
O1 0.000 0.500 0.000 (multiplicity 4)

***

Entry 2:
Diffraction record for PmUBr6. The XRD peak list is computed, not measured: it uses the PBE geometry in Alexandria and copper Kα.
Intensities are scaled so that the largest is 100.

Main lines, low angle first (2θ from 15° to 90°):
(0 1 2), 16.70°, intensity 100.0
(1 0 4), 22.77°, intensity 41.6
(2 -1 3), 28.07°, intensity 74.3
(2 0 2), 29.89°, intensity 19.4
(0 2 4), 33.77°, intensity 19.7
(1 1 6), 36.68°, intensity 73.8
(1 2 2), 39.09°, intensity 22.0
(3 0 0), 43.32°, intensity 44.6
(4 -2 6), 58.03°, intensity 19.4
(3 0 12), 72.62°, intensity 19.4

Structure:
Cell: 7.2354 7.2354 19.9777 Å, 90.00 90.00 120.00°
Space group R-3 (No. 148, hexagonal axes)
Symmetry-distinct sites (fractional):
Pm1 0.0000 0.0000 0.0000 (multiplicity 3)
U1 0.0000 0.0000 0.5000 (multiplicity 3)
Br1 0.0011 0.6589 0.7495 (multiplicity 18)